Record 1
This entry pairs a crystal structure of ThMg12 with its simulated X-ray diffraction stick pattern. Radiation: copper Kα. Structure: a cell relaxed with GGA-PBE.

Principal peaks in the range 10 to 90 degrees two-theta, low angle first:
- 2θ 12.28, d 7.207, I 64, (1 1 0)
- 2θ 17.26, d 5.137, I 56, (1 0 1)
- 2θ 17.40, d 5.096, I 22, (2 0 0)
- 2θ 24.62, d 3.615, I 85, (2 1 1)
- 2θ 27.68, d 3.223, I 28, (3 1 0)
- 2θ 30.30, d 2.950, I 45, (3 0 1)
- 2θ 34.93, d 2.568, I 44, (2 0 2)
- 2θ 35.17, d 2.552, I 100, (4 0 0)
- 2θ 41.31, d 2.186, I 20, (3 1 2)
- 2θ 47.13, d 1.928, I 20, (4 3 1)

Structural model:
```
data_ThMg12
_chemical_formula_sum 'Th2 Mg24'
_cell_length_a 10.193
_cell_length_b 10.193
_cell_length_c 5.948
_cell_angle_alpha 90.00
_cell_angle_beta 90.00
_cell_angle_gamma 90.00
_space_group_name_H-M_alt 'I 4/m m m'
_space_group_IT_number 139
_space_group_name_Hall '-I 4 2'
loop_
_atom_site_label
_atom_site_fract_x
_atom_site_fract_y
_atom_site_fract_z
Th1 0.000 0.000 0.000
Mg1 0.000 0.211 0.500
Mg2 0.000 0.350 0.000
Mg3 0.250 0.250 0.250
```

***

Record 2
This entry pairs a crystal structure of Th3Mg with its simulated X-ray diffraction stick pattern. Radiation: copper Kα. Structure: a cell relaxed with GGA-PBE.

Principal peaks in the range 10 to 90 degrees two-theta, low angle first:
- 2θ 12.31, d 7.187, I 26, (0 0 1)
- 2θ 22.52, d 3.948, I 23, (0 1 1)
- 2θ 31.27, d 2.860, I 100, (0 1 2)
- 2θ 31.42, d 2.847, I 100, (1 1 0)
- 2θ 35.45, d 2.532, I 72, (1 0 2)
- 2θ 38.10, d 2.362, I 30, (0 2 0)
- 2θ 53.02, d 1.727, I 47, (1 2 2)
- 2θ 60.97, d 1.520, I 31, (1 1 4)
- 2θ 61.23, d 1.514, I 31, (2 1 2)
- 2θ 64.66, d 1.442, I 26, (1 3 0)

Structural model:
```
data_Th3Mg
_chemical_formula_sum 'Th3 Mg1'
_cell_length_a 3.568
_cell_length_b 4.724
_cell_length_c 7.187
_cell_angle_alpha 90.00
_cell_angle_beta 90.00
_cell_angle_gamma 90.00
_space_group_name_H-M_alt 'P m m m'
_space_group_IT_number 47
loop_
_space_group_symop_operation_xyz
'x,y,z'
'-x,-y,-z'
'-x,-y,z'
'x,y,-z'
'x,-y,-z'
'-x,y,z'
'-x,y,-z'
'x,-y,z'
loop_
_atom_site_label
_atom_site_fract_x
_atom_site_fract_y
_atom_site_fract_z
Th1 0.000 0.000 0.000
Th2 0.500 0.500 0.260
Mg1 0.000 0.000 0.500
```

***

Record 3
This entry pairs a crystal structure of Th2MgTl9 with its simulated X-ray diffraction stick pattern. Radiation: copper Kα. Structure: a cell relaxed with GGA-PBE.

Principal peaks in the range 10 to 90 degrees two-theta, low angle first:
- 2θ 32.13, d 2.786, I 100, (1 1 3)
- 2θ 36.82, d 2.441, I 17, (0 0 6)
- 2θ 37.50, d 2.398, I 33, (2 0 0)
- 2θ 53.57, d 1.711, I 24, (2 0 6)
- 2θ 54.07, d 1.696, I 12, (2 2 0)
- 2θ 63.39, d 1.467, I 14, (1 1 9)
- 2θ 64.31, d 1.449, I 28, (3 1 3)
- 2θ 67.21, d 1.393, I 12, (2 2 6)
- 2θ 88.02, d 1.110, I 12, (3 1 9)
- 2θ 88.84, d 1.101, I 6, (3 3 3)

Structural model:
```
data_Th2MgTl9
_chemical_formula_sum 'Th2 Mg1 Tl9'
_cell_length_a 4.797
_cell_length_b 4.797
_cell_length_c 14.647
_cell_angle_alpha 90.00
_cell_angle_beta 90.00
_cell_angle_gamma 90.00
_space_group_name_H-M_alt 'P 4/m m m'
_space_group_IT_number 123
_space_group_name_Hall '-P 4 2'
loop_
_atom_site_label
_atom_site_fract_x
_atom_site_fract_y
_atom_site_fract_z
Th1 0.000 0.000 0.160
Mg1 0.000 0.000 0.500
Tl1 0.000 0.500 0.000
Tl2 0.000 0.500 0.338
Tl3 0.500 0.500 0.168
Tl4 0.500 0.500 0.500
```

***

Record 4
This entry pairs a crystal structure of Th3MgTl3 with its simulated X-ray diffraction stick pattern. Radiation: copper Kα. Structure: a cell relaxed with GGA-PBE.

Principal peaks in the range 10 to 90 degrees two-theta, low angle first:
- 2θ 19.10, d 4.647, I 9, (1 0 1)
- 2θ 29.99, d 2.980, I 26, (2 1 0)
- 2θ 31.10, d 2.876, I 28, (0 0 2)
- 2θ 33.88, d 2.646, I 100, (2 1 1)
- 2θ 43.74, d 2.069, I 19, (2 1 2)
- 2θ 53.24, d 1.721, I 18, (1 4 0)
- 2θ 57.12, d 1.612, I 23, (2 1 3)
- 2θ 62.95, d 1.476, I 21, (1 4 2)
- 2θ 64.62, d 1.442, I 15, (4 2 1)
- 2θ 88.45, d 1.105, I 12, (7 0 1)

Structural model:
```
data_Th3MgTl3
_chemical_formula_sum 'Th6 Mg2 Tl6'
_cell_length_a 9.1041
_cell_length_b 9.1041
_cell_length_c 5.7522
_cell_angle_alpha 90.00
_cell_angle_beta 90.00
_cell_angle_gamma 120.00
_space_group_name_H-M_alt 'P 63/m'
_space_group_IT_number 176
_space_group_name_Hall '-P 6c'
loop_
_atom_site_label
_atom_site_fract_x
_atom_site_fract_y
_atom_site_fract_z
Th1 0.0999 0.4634 0.2500
Mg1 0.3333 0.6667 0.7500
Tl1 0.0571 0.2485 0.7500
```

***

Record 5
This entry pairs a crystal structure of ThMg15Tl4 with its simulated X-ray diffraction stick pattern. Radiation: copper Kα. Structure: a cell relaxed with GGA-PBE.

Principal peaks in the range 10 to 90 degrees two-theta, low angle first:
- 2θ 18.26, d 4.858, I 94, (1 0 0)
- 2θ 21.89, d 4.061, I 31, (0 0 5)
- 2θ 25.94, d 3.435, I 41, (1 1 0)
- 2θ 28.65, d 3.116, I 64, (1 0 5)
- 2θ 34.19, d 2.623, I 100, (1 1 5)
- 2θ 37.01, d 2.429, I 42, (2 0 0)
- 2θ 41.57, d 2.173, I 24, (2 1 0)
- 2θ 43.41, d 2.085, I 21, (2 0 5)
- 2θ 47.46, d 1.916, I 33, (2 1 5)
- 2θ 64.90, d 1.437, I 31, (3 1 5)

Structural model:
```
data_ThMg15Tl4
_chemical_formula_sum 'Th1 Mg15 Tl4'
_cell_length_a 4.858
_cell_length_b 4.858
_cell_length_c 20.305
_cell_angle_alpha 90.00
_cell_angle_beta 90.00
_cell_angle_gamma 90.00
_space_group_name_H-M_alt 'P 4/m m m'
_space_group_IT_number 123
_space_group_name_Hall '-P 4 2'
loop_
_atom_site_label
_atom_site_fract_x
_atom_site_fract_y
_atom_site_fract_z
Th1 0.000 0.000 0.000
Mg1 0.000 0.500 0.110
Mg2 0.000 0.500 0.306
Mg3 0.000 0.500 0.500
Mg4 0.500 0.500 0.000
Mg5 0.500 0.500 0.213
Mg6 0.500 0.500 0.401
Tl1 0.000 0.000 0.206
Tl2 0.000 0.000 0.404
```

***

Record 6
This entry pairs a crystal structure of Th2MgTl8 with its simulated X-ray diffraction stick pattern. Radiation: copper Kα. Structure: a cell relaxed with GGA-PBE.

Principal peaks in the range 10 to 90 degrees two-theta, low angle first:
- 2θ 26.31, d 3.387, I 11, (1 1 1)
- 2θ 29.08, d 3.071, I 31, (1 1 2)
- 2θ 33.22, d 2.697, I 100, (1 1 3)
- 2θ 35.60, d 2.522, I 14, (0 0 5)
- 2θ 36.13, d 2.486, I 49, (2 0 0)
- 2θ 51.63, d 1.770, I 20, (2 0 5)
- 2θ 52.02, d 1.758, I 18, (2 2 0)
- 2θ 63.13, d 1.473, I 32, (3 1 3)
- 2θ 64.83, d 1.438, I 17, (1 1 8)
- 2θ 87.66, d 1.113, I 15, (3 1 8)

Structural model:
```
data_Th2MgTl8
_chemical_formula_sum 'Th2 Mg1 Tl8'
_cell_length_a 4.972
_cell_length_b 4.972
_cell_length_c 12.609
_cell_angle_alpha 90.00
_cell_angle_beta 90.00
_cell_angle_gamma 90.00
_space_group_name_H-M_alt 'P 4/m m m'
_space_group_IT_number 123
_space_group_name_Hall '-P 4 2'
loop_
_atom_site_label
_atom_site_fract_x
_atom_site_fract_y
_atom_site_fract_z
Th1 0.000 0.000 0.184
Mg1 0.000 0.000 0.500
Tl1 0.000 0.500 0.000
Tl2 0.000 0.500 0.368
Tl3 0.500 0.500 0.183
```

***

Record 7
This entry pairs a crystal structure of Tm2ThMg3 with its simulated X-ray diffraction stick pattern. Radiation: copper Kα. Structure: a cell relaxed with GGA-PBE.

Principal peaks in the range 10 to 90 degrees two-theta, low angle first:
- 2θ 21.22, d 4.187, I 42, (0 0 3)
- 2θ 24.76, d 3.596, I 59, (1 0 0)
- 2θ 32.83, d 2.728, I 100, (1 0 3)
- 2θ 35.30, d 2.543, I 42, (1 1 0)
- 2θ 41.55, d 2.173, I 31, (1 1 3)
- 2θ 50.44, d 1.809, I 17, (1 0 6)
- 2θ 50.78, d 1.798, I 15, (2 0 0)
- 2θ 55.63, d 1.652, I 13, (2 0 3)
- 2θ 56.98, d 1.616, I 20, (1 1 6)
- 2θ 61.80, d 1.501, I 33, (2 1 3)

Structural model:
```
data_Tm2ThMg3
_chemical_formula_sum 'Tm2 Th1 Mg3'
_cell_length_a 3.596
_cell_length_b 3.596
_cell_length_c 12.561
_cell_angle_alpha 90.00
_cell_angle_beta 90.00
_cell_angle_gamma 90.00
_space_group_name_H-M_alt 'P 4/m m m'
_space_group_IT_number 123
_space_group_name_Hall '-P 4 2'
loop_
_atom_site_label
_atom_site_fract_x
_atom_site_fract_y
_atom_site_fract_z
Tm1 0.000 0.000 0.160
Th1 0.000 0.000 0.500
Mg1 0.500 0.500 0.000
Mg2 0.500 0.500 0.321
```

***

Record 8
This entry pairs a crystal structure of ThMgV with its simulated X-ray diffraction stick pattern. Radiation: copper Kα. Structure: a cell relaxed with GGA-PBE.

Principal peaks in the range 10 to 90 degrees two-theta, low angle first:
- 2θ 22.34, d 3.980, I 100, (1 1 1)
- 2θ 26.99, d 3.303, I 21, (0 2 0)
- 2θ 32.72, d 2.737, I 100, (1 1 5)
- 2θ 33.35, d 2.686, I 32, (0 2 4)
- 2θ 34.65, d 2.589, I 21, (2 0 0)
- 2θ 40.04, d 2.252, I 18, (0 2 6)
- 2θ 40.74, d 2.215, I 19, (1 1 7)
- 2θ 44.46, d 2.038, I 19, (2 2 0)
- 2θ 45.00, d 2.014, I 37, (1 3 1)
- 2θ 53.97, d 1.699, I 24, (2 2 6)

Structural model:
```
data_ThMgV
_chemical_formula_sum 'Th8 Mg8 V8'
_cell_length_a 5.178
_cell_length_b 6.607
_cell_length_c 18.465
_cell_angle_alpha 90.00
_cell_angle_beta 90.00
_cell_angle_gamma 90.00
_space_group_name_H-M_alt 'F m m m'
_space_group_IT_number 69
_space_group_name_Hall '-F 2 2'
loop_
_atom_site_label
_atom_site_fract_x
_atom_site_fract_y
_atom_site_fract_z
Th1 0.000 0.000 0.095
Mg1 0.250 0.250 0.250
V1 0.000 0.154 0.500
```

***

Record 9
This entry pairs a crystal structure of YTh2Mg with its simulated X-ray diffraction stick pattern. Radiation: copper Kα. Structure: a cell relaxed with GGA-PBE.

Principal peaks in the range 10 to 90 degrees two-theta, low angle first:
- 2θ 17.58, d 5.044, I 32, (0 0 2)
- 2θ 25.55, d 3.487, I 28, (1 0 0)
- 2θ 31.19, d 2.868, I 100, (1 0 2)
- 2θ 35.60, d 2.522, I 17, (0 0 4)
- 2θ 36.44, d 2.465, I 34, (1 1 0)
- 2θ 40.74, d 2.215, I 17, (1 1 2)
- 2θ 51.86, d 1.763, I 24, (1 1 4)
- 2θ 52.47, d 1.744, I 15, (2 0 0)
- 2θ 61.20, d 1.514, I 13, (1 0 6)
- 2θ 62.33, d 1.490, I 28, (2 1 2)

Structural model:
```
data_YTh2Mg
_chemical_formula_sum 'Y1 Th2 Mg1'
_cell_length_a 3.487
_cell_length_b 3.487
_cell_length_c 10.088
_cell_angle_alpha 90.00
_cell_angle_beta 90.00
_cell_angle_gamma 90.00
_space_group_name_H-M_alt 'P 4/m m m'
_space_group_IT_number 123
_space_group_name_Hall '-P 4 2'
loop_
_atom_site_label
_atom_site_fract_x
_atom_site_fract_y
_atom_site_fract_z
Y1 0.000 0.000 0.000
Th1 0.500 0.500 0.260
Mg1 0.000 0.000 0.500
```

***

Record 10
This entry pairs a crystal structure of ThMg10Zn3 with its simulated X-ray diffraction stick pattern. Radiation: copper Kα. Structure: a cell relaxed with GGA-PBE.

Principal peaks in the range 10 to 90 degrees two-theta, low angle first:
- 2θ 12.84, d 6.892, I 33, (2 0 0)
- 2θ 18.20, d 4.874, I 20, (2 2 0)
- 2θ 22.34, d 3.979, I 100, (2 2 2)
- 2θ 25.85, d 3.446, I 43, (4 0 0)
- 2θ 28.97, d 3.082, I 46, (4 2 0)
- 2θ 31.80, d 2.814, I 28, (4 2 2)
- 2θ 36.89, d 2.437, I 68, (4 4 0)
- 2θ 43.55, d 2.078, I 76, (6 2 2)
- 2θ 58.36, d 1.581, I 25, (6 6 2)
- 2θ 66.45, d 1.407, I 26, (8 4 4)

Structural model:
```
data_ThMg10Zn3
_chemical_formula_sum 'Th8 Mg80 Zn24'
_cell_length_a 13.785
_cell_length_b 13.785
_cell_length_c 13.785
_cell_angle_alpha 90.00
_cell_angle_beta 90.00
_cell_angle_gamma 90.00
_space_group_name_H-M_alt 'F m -3 m'
_space_group_IT_number 225
_space_group_name_Hall '-F 4 2 3'
loop_
_atom_site_label
_atom_site_fract_x
_atom_site_fract_y
_atom_site_fract_z
Th1 0.250 0.250 0.250
Mg1 0.000 0.172 0.172
Mg2 0.113 0.113 0.387
Zn1 0.000 0.000 0.267
```

***

Record 11
This entry pairs a crystal structure of Th3Mg2Zn9 with its simulated X-ray diffraction stick pattern. Radiation: copper Kα. Structure: a cell relaxed with GGA-PBE.

Principal peaks in the range 10 to 90 degrees two-theta, low angle first:
- 2θ 22.00, d 4.040, I 21, (1 1 0)
- 2θ 27.74, d 3.216, I 25, (1 0 3)
- 2θ 32.87, d 2.725, I 35, (0 2 4)
- 2θ 34.30, d 2.614, I 100, (1 2 3)
- 2θ 35.99, d 2.496, I 39, (1 3 0)
- 2θ 38.38, d 2.345, I 17, (1 3 2)
- 2θ 39.85, d 2.262, I 30, (2 0 0)
- 2θ 52.58, d 1.741, I 19, (2 2 4)
- 2θ 54.99, d 1.670, I 18, (0 5 3)
- 2θ 66.65, d 1.403, I 19, (1 4 7)

Structural model:
```
data_Th3Mg2Zn9
_chemical_formula_sum 'Th6 Mg4 Zn18'
_cell_length_a 4.524
_cell_length_b 8.976
_cell_length_c 13.717
_cell_angle_alpha 90.00
_cell_angle_beta 90.00
_cell_angle_gamma 90.00
_space_group_name_H-M_alt 'I m m m'
_space_group_IT_number 71
_space_group_name_Hall '-I 2 2'
loop_
_atom_site_label
_atom_site_fract_x
_atom_site_fract_y
_atom_site_fract_z
Th1 0.000 0.000 0.000
Th2 0.000 0.000 0.287
Mg1 0.000 0.184 0.500
Zn1 0.000 0.281 0.143
Zn2 0.000 0.361 0.342
Zn3 0.000 0.500 0.000
```

***

Record 12
This entry pairs a crystal structure of ThMg6Zn2 with its simulated X-ray diffraction stick pattern. Radiation: copper Kα. Structure: a cell relaxed with GGA-PBE.

Principal peaks in the range 10 to 90 degrees two-theta, low angle first:
- 2θ 17.06, d 5.196, I 31, (0 0 2)
- 2θ 26.62, d 3.349, I 51, (1 0 2)
- 2θ 28.82, d 3.097, I 49, (1 1 0)
- 2θ 30.10, d 2.968, I 77, (1 1 1)
- 2θ 32.96, d 2.717, I 65, (1 0 3)
- 2θ 33.69, d 2.661, I 100, (1 1 2)
- 2θ 40.36, d 2.235, I 53, (1 0 4)
- 2θ 41.22, d 2.190, I 51, (2 0 0)
- 2θ 53.76, d 1.705, I 33, (2 1 3)
- 2θ 59.06, d 1.564, I 35, (2 1 4)

Structural model:
```
data_ThMg6Zn2
_chemical_formula_sum 'Th1 Mg6 Zn2'
_cell_length_a 4.381
_cell_length_b 4.381
_cell_length_c 10.393
_cell_angle_alpha 90.00
_cell_angle_beta 90.00
_cell_angle_gamma 90.00
_space_group_name_H-M_alt 'P 4/m m m'
_space_group_IT_number 123
_space_group_name_Hall '-P 4 2'
loop_
_atom_site_label
_atom_site_fract_x
_atom_site_fract_y
_atom_site_fract_z
Th1 0.000 0.000 0.000
Mg1 0.000 0.000 0.500
Mg2 0.000 0.500 0.276
Mg3 0.500 0.500 0.500
Zn1 0.500 0.500 0.116
```

***

Record 13
This entry pairs a crystal structure of ThMgZn11 with its simulated X-ray diffraction stick pattern. Radiation: copper Kα. Structure: a cell relaxed with GGA-PBE.

Principal peaks in the range 10 to 90 degrees two-theta, low angle first:
- 2θ 19.31, d 4.597, I 16, (1 1 0)
- 2θ 27.60, d 3.232, I 20, (1 1 -2)
- 2θ 27.87, d 3.201, I 21, (1 3 0)
- 2θ 33.53, d 2.673, I 23, (2 0 -1)
- 2θ 34.26, d 2.617, I 53, (1 3 -2)
- 2θ 39.20, d 2.298, I 66, (2 2 -2)
- 2θ 39.54, d 2.279, I 52, (1 1 2)
- 2θ 40.09, d 2.249, I 100, (0 4 2)
- 2θ 60.42, d 1.532, I 16, (0 8 1)
- 2θ 72.18, d 1.309, I 19, (2 6 2)

Structural model:
```
data_ThMgZn11
_chemical_formula_sum 'Th2 Mg2 Zn22'
_cell_length_a 5.346
_cell_length_b 12.618
_cell_length_c 6.962
_cell_angle_alpha 90.00
_cell_angle_beta 112.57
_cell_angle_gamma 90.00
_space_group_name_H-M_alt 'C 1 2/m 1'
_space_group_IT_number 12
loop_
_space_group_symop_operation_xyz
'x,y,z'
'-x,-y,-z'
'-x,y,-z'
'x,-y,z'
'x+1/2,y+1/2,z'
'-x+1/2,-y+1/2,-z'
'-x+1/2,y+1/2,-z'
'x+1/2,-y+1/2,z'
loop_
_atom_site_label
_atom_site_fract_x
_atom_site_fract_y
_atom_site_fract_z
Th1 0.000 0.000 0.000
Mg1 0.000 0.500 0.500
Zn1 0.000 0.000 0.500
Zn2 0.112 0.389 0.215
Zn3 0.166 0.180 0.352
Zn4 0.250 0.250 0.000
```